Record 1
Starting from the PBE geometry in Alexandria, the powder diffraction line list of Er2ZnAg3 was simulated for CuKα.
Lines closer than 0.1° are merged.

Atomic structure:
```
data_Er2ZnAg3
_chemical_formula_sum 'Er2 Zn1 Ag3'
_symmetry_space_group_name_H-M 'P 1'
_symmetry_Int_Tables_number 1
_cell_length_a 3.3633
_cell_length_b 4.6618
_cell_length_c 8.1376
_cell_angle_alpha 90.00
_cell_angle_beta 90.00
_cell_angle_gamma 90.00
loop_
_symmetry_equiv_pos_as_xyz
'x,y,z'
loop_
_atom_site_label
_atom_site_type_symbol
_atom_site_fract_x
_atom_site_fract_y
_atom_site_fract_z
_atom_site_occupancy
Er1 Er 0.0000 0.0000 0.0000 1
Er2 Er 0.0000 0.5000 0.4988 1
Zn1 Zn 0.5000 0.5000 0.8299 1
Ag1 Ag 0.5000 0.0000 0.3373 1
Ag2 Ag 0.5000 0.0000 0.6768 1
Ag3 Ag 0.5000 0.5000 0.1546 1
```

Most intense lines, 2θ = 5–70°, sorted by position:
2θ (°)  I (rel.)
34.66  100.0
38.39  47.2
38.63  23.6
52.57  10.2
52.82  19.4
54.57  8.4
66.95  8.9
67.11  9.6
67.37  9.5
68.69  16.4
68.84  8.2
69.74  7.8

Record 2
Starting from the PBE geometry in Alexandria, the powder diffraction line list of Na4Sr2Li was simulated for CuKα.
Lines closer than 0.1° are merged.

Atomic structure:
```
data_Na4Sr2Li
_chemical_formula_sum 'Na4 Sr2 Li1'
_symmetry_space_group_name_H-M 'P 1'
_symmetry_Int_Tables_number 1
_cell_length_a 17.4033
_cell_length_b 17.4033
_cell_length_c 3.9964
_cell_angle_alpha 90.00
_cell_angle_beta 90.00
_cell_angle_gamma 166.65
loop_
_symmetry_equiv_pos_as_xyz
'x,y,z'
loop_
_atom_site_label
_atom_site_type_symbol
_atom_site_fract_x
_atom_site_fract_y
_atom_site_fract_z
_atom_site_occupancy
Na1 Na 0.0528 0.9472 0.0000 1
Na2 Na 0.3833 0.6167 0.5000 1
Na3 Na 0.6167 0.3833 0.5000 1
Na4 Na 0.9472 0.0528 0.0000 1
Sr1 Sr 0.1977 0.8023 0.0000 1
Sr2 Sr 0.8023 0.1977 0.0000 1
Li1 Li 0.5000 0.5000 0.5000 1
```

Most intense lines, 2θ = 5–70°, sorted by position:
2θ (°)  I (rel.)
5.11  100.0
20.55  13.6
22.24  15.3
22.84  12.1
25.51  32.7
28.52  20.4
30.47  29.1
31.58  18.2
32.44  16.7
34.10  12.6
36.47  11.4
46.78  13.9